No. 1
Starting from a crystal structure in Alexandria, relaxed with GGA-PBE, the powder XRD pattern of LiLa3Pb2O was calculated for λ = 1.5418 Å (Cu Kα).
No peak broadening, texture or thermal motion is included.

Main lines, sorted by position (15 to 90 degrees two-theta):
Position (°2θ)  Rel. int.  index
19.0  23  0 1 1
20.6  27  0 0 4
26.6  65  1 1 0
28.5  39  1 1 2
31.2  32  0 0 6
33.9  100  1 1 4
37.1  31  0 2 0
38.7  28  2 0 0
54.7  20  2 2 0
60.4  21  1 1 10

Structure:
```
data_LiLa3Pb2O
_chemical_formula_sum 'Li2 La6 Pb4 O2'
_symmetry_space_group_name_H-M 'I m m m'
_symmetry_Int_Tables_number 71
_symmetry_space_group_name_Hall '-I 2 2'
_cell_length_a 4.6489
_cell_length_b 4.8503
_cell_length_c 17.2218
_cell_angle_alpha 90.00
_cell_angle_beta 90.00
_cell_angle_gamma 90.00
loop_
_atom_site_label
_atom_site_fract_x
_atom_site_fract_y
_atom_site_fract_z
Li1 0.0000 0.0000 0.0000
La1 0.0000 0.0000 0.5000
La2 0.0000 0.5000 0.3388
Pb1 0.0000 0.5000 0.1419
O1 0.0000 0.5000 0.5000
```


No. 2
Starting from a crystal structure in Alexandria, relaxed with GGA-PBE, the powder XRD pattern of Li2La2PdO6 was calculated for λ = 1.5418 Å (Cu Kα).
No peak broadening, texture or thermal motion is included.

Main lines, sorted by position (15 to 90 degrees two-theta):
Position (°2θ)  Rel. int.  index
19.0  77  1 0 1
30.0  54  1 0 4
31.5  100  1 1 0
35.1  66  0 1 5
38.5  23  2 0 2
44.0  43  0 2 4
47.8  33  2 0 5
55.2  30  0 0 9
58.4  35  1 2 5
65.0  25  1 1 9

Structure:
```
data_Li2La2PdO6
_chemical_formula_sum 'Li6 La6 Pd3 O18'
_symmetry_space_group_name_H-M 'R -3 m'
_symmetry_Int_Tables_number 166
_symmetry_space_group_name_Hall '-R 3 2"'
_cell_length_a 5.6830
_cell_length_b 5.6830
_cell_length_c 14.9683
_cell_angle_alpha 90.00
_cell_angle_beta 90.00
_cell_angle_gamma 120.00
loop_
_atom_site_label
_atom_site_fract_x
_atom_site_fract_y
_atom_site_fract_z
Li1 0.0000 0.0000 0.0761
La1 0.0000 0.0000 0.2839
Pd1 0.0000 0.0000 0.5000
O1 0.0269 0.5135 0.2564
```